Record 1
The following is a calculated powder XRD pattern of Sm2Fe17C. It was derived from DFT lattice parameters and positions (PBE), using Cu Kα (weighted mean of Kα1 and Kα2).
Intensities are scaled so that the largest is 100.

Most intense lines, 5 to 70 degrees two-theta, by angle:
Position (°2θ)	I_rel
29.97	39.5
36.11	40.8
37.75	29.2
41.94	68.6
42.42	100.0
43.39	18.9
43.84	46.4
47.61	20.3
61.90	17.7
62.28	18.1

```
Sm2Fe17C
1.0
4.8246 -4.3052 0.0000
4.8246 4.3052 0.0000
-0.9672 0.0000 6.3923
Sm Fe C
2 17 1
direct
0.1616 0.1616 0.3507
0.8384 0.8384 0.6493
0.0000 0.5000 0.0000
0.1571 0.1571 0.8506
0.1584 0.6507 0.3427
0.2116 0.5004 0.7115
0.2147 0.7853 0.0000
0.3493 0.8416 0.6573
0.4036 0.4036 0.0968
0.5000 0.0000 0.0000
0.5004 0.2116 0.7115
0.5000 0.5000 0.5000
0.4996 0.7884 0.2885
0.5964 0.5964 0.9032
0.6507 0.1584 0.3427
0.7853 0.2147 0.0000
0.7884 0.4996 0.2885
0.8416 0.3493 0.6573
0.8429 0.8429 0.1494
0.0000 0.0000 0.0000
```


Record 2
The following is a calculated powder XRD pattern of In2GaS4. It was derived from DFT lattice parameters and positions (PBE), using Cu Kα (weighted mean of Kα1 and Kα2).
Intensities are scaled so that the largest is 100.

Most intense lines, 5 to 70 degrees two-theta, by angle:
Position (°2θ)	I_rel
6.92	30.2
20.85	55.9
26.76	100.0
29.42	61.8
38.40	47.6
44.09	28.4
45.54	47.9
50.35	25.5
50.59	30.5
53.61	14.1

```
In2GaS4
1.0
3.9838 0.0000 0.0000
-1.9919 3.4501 0.0000
0.0000 0.0000 12.7798
In Ga S
2 1 4
direct
0.0000 0.0000 0.0000
0.3333 0.6667 0.6887
0.6667 0.3333 0.2968
0.3333 0.6667 0.3569
0.3333 0.6667 0.8840
0.6667 0.3333 0.1142
0.6667 0.3333 0.6063
```


Record 3
The following is a calculated powder XRD pattern of MgZnCo4S8. It was derived from DFT lattice parameters and positions (PBE), using Cu Kα (weighted mean of Kα1 and Kα2).
Intensities are scaled so that the largest is 100.

Most intense lines, 5 to 70 degrees two-theta, by angle:
Position (°2θ)	I_rel
15.80	78.2
15.96	9.5
30.61	13.4
36.88	100.0
37.76	48.0
48.42	12.5
52.63	15.0
53.67	44.8
53.92	28.9
67.46	13.7

```
MgZnCo4S8
1.0
5.8831 -3.4169 0.0000
5.8831 3.4169 0.0000
-4.0794 0.0000 5.6341
Mg Zn Co S
1 1 4 8
direct
0.0000 0.0000 0.0000
0.0000 0.0000 0.5000
0.0000 0.5000 0.0000
0.5000 0.0000 0.0000
0.5000 0.5000 0.0000
0.5000 0.5000 0.5000
0.2559 0.2559 0.7939
0.2613 0.2613 0.2283
0.2642 0.7045 0.2356
0.2955 0.7358 0.7644
0.7045 0.2642 0.2356
0.7358 0.2955 0.7644
0.7387 0.7387 0.7717
0.7441 0.7441 0.2061
```


Record 4
The following is a calculated powder XRD pattern of Ba3FeN3. It was derived from DFT lattice parameters and positions (PBE), using Cu Kα (weighted mean of Kα1 and Kα2).
Intensities are scaled so that the largest is 100.

Most intense lines, 5 to 70 degrees two-theta, by angle:
Position (°2θ)	I_rel
21.74	16.1
26.96	100.0
29.81	66.1
31.80	42.5
33.48	46.8
38.13	18.2
46.84	34.9
49.14	18.8
50.46	16.0
59.20	21.6

```
Ba3FeN3
1.0
8.1760 0.0000 0.0000
-4.0880 7.0807 0.0000
0.0000 0.0000 5.6287
Ba Fe N
6 2 6
direct
0.0824 0.7188 0.2500
0.2812 0.3636 0.2500
0.3636 0.0824 0.7500
0.6364 0.9176 0.2500
0.7188 0.6364 0.7500
0.9176 0.2812 0.7500
0.3333 0.6667 0.7500
0.6667 0.3333 0.2500
0.1295 0.6830 0.7500
0.3170 0.4466 0.7500
0.4466 0.1295 0.2500
0.5534 0.8705 0.7500
0.6830 0.5534 0.2500
0.8705 0.3170 0.2500
```


Record 5
The following is a calculated powder XRD pattern of ReC5ClO5. It was derived from DFT lattice parameters and positions (PBE), using Cu Kα (weighted mean of Kα1 and Kα2).
Intensities are scaled so that the largest is 100.

Most intense lines, 5 to 70 degrees two-theta, by angle:
Position (°2θ)	I_rel
15.05	76.6
16.39	59.9
16.85	100.0
18.05	75.2
22.32	45.7
27.32	33.7
28.11	43.8
31.09	44.3
34.04	42.1
35.56	29.9

```
ReC5ClO5
1.0
11.7627 0.0000 0.0000
0.0000 11.7761 0.0000
0.0000 0.0000 6.0879
Re C Cl O
4 20 4 20
direct
0.1250 0.2500 0.0507
0.3750 0.7500 0.5507
0.6250 0.2500 0.4493
0.8750 0.7500 0.9493
0.0266 0.2500 0.7951
0.0299 0.1279 0.1931
0.0299 0.3721 0.1931
0.2246 0.1284 0.9162
0.2246 0.3716 0.9162
0.2754 0.6284 0.4162
0.2754 0.8716 0.4162
0.4701 0.6279 0.6931
0.4701 0.8721 0.6931
0.4734 0.7500 0.2951
0.5266 0.2500 0.7049
0.5299 0.1279 0.3069
0.5299 0.3721 0.3069
0.7246 0.1284 0.5838
0.7246 0.3716 0.5838
0.7754 0.6284 0.0838
0.7754 0.8716 0.0838
0.9701 0.6279 0.8069
0.9701 0.8721 0.8069
0.9734 0.7500 0.2049
0.2481 0.7500 0.8828
0.2519 0.2500 0.3828
0.7481 0.7500 0.6172
0.7519 0.2500 0.1172
0.0234 0.5549 0.7346
0.0234 0.9451 0.7346
0.0323 0.7500 0.3587
0.2196 0.5575 0.3436
0.2196 0.9425 0.3436
0.2804 0.0575 0.8436
0.2804 0.4425 0.8436
0.4677 0.2500 0.8587
0.4766 0.0549 0.2346
0.4766 0.4451 0.2346
0.5234 0.5549 0.7654
0.5234 0.9451 0.7654
0.5323 0.7500 0.1413
0.7196 0.5575 0.1564
0.7196 0.9425 0.1564
0.7804 0.0575 0.6564
0.7804 0.4425 0.6564
0.9677 0.2500 0.6413
0.9766 0.0549 0.2654
0.9766 0.4451 0.2654
```


Record 6
The following is a calculated powder XRD pattern of Sm2Fe17C2. It was derived from DFT lattice parameters and positions (PBE), using Cu Kα (weighted mean of Kα1 and Kα2).
Intensities are scaled so that the largest is 100.

Most intense lines, 5 to 70 degrees two-theta, by angle:
Position (°2θ)	I_rel
29.84	39.6
35.89	40.2
37.59	29.5
41.68	71.9
42.20	100.0
43.19	19.1
43.72	47.3
47.35	19.1
60.80	15.6
61.99	18.3

```
Sm2Fe17C2
1.0
4.8368 -4.3304 0.0000
4.8368 4.3304 0.0000
-0.9536 0.0000 6.4311
Sm Fe C
2 17 2
direct
0.1527 0.1527 0.3334
0.8473 0.8473 0.6666
0.0000 0.5000 0.0000
0.1563 0.6458 0.3414
0.1580 0.1580 0.8526
0.2144 0.4991 0.7139
0.2140 0.7860 0.0000
0.3542 0.8437 0.6586
0.4044 0.4044 0.0956
0.4991 0.2144 0.7139
0.5000 0.0000 0.0000
0.5000 0.5000 0.5000
0.5009 0.7856 0.2861
0.5956 0.5956 0.9044
0.6458 0.1563 0.3414
0.7860 0.2140 0.0000
0.7856 0.5009 0.2861
0.8420 0.8420 0.1474
0.8437 0.3542 0.6586
0.0000 0.5000 0.5000
0.5000 0.0000 0.5000
```


Record 7
The following is a calculated powder XRD pattern of RbZnN. It was derived from DFT lattice parameters and positions (PBE), using Cu Kα (weighted mean of Kα1 and Kα2).
Intensities are scaled so that the largest is 100.

Most intense lines, 5 to 70 degrees two-theta, by angle:
Position (°2θ)	I_rel
26.57	22.6
27.24	100.0
27.75	44.4
29.43	36.3
29.63	87.0
34.58	26.4
35.92	24.9
37.65	56.0
40.22	37.0
49.79	54.1

```
RbZnN
1.0
11.2498 0.0000 0.0000
0.0000 3.5710 0.0000
0.0000 0.0000 6.7092
Rb Zn N
4 4 4
direct
0.1570 0.2500 0.0553
0.3430 0.7500 0.5553
0.6570 0.2500 0.4447
0.8430 0.7500 0.9447
0.0550 0.2500 0.6072
0.4450 0.7500 0.1072
0.5550 0.2500 0.8928
0.9450 0.7500 0.3928
0.0797 0.7500 0.6962
0.4203 0.2500 0.1962
0.5797 0.7500 0.8038
0.9203 0.2500 0.3038
```


Record 8
The following is a calculated powder XRD pattern of CeB2Ru3. It was derived from DFT lattice parameters and positions (PBE), using Cu Kα (weighted mean of Kα1 and Kα2).
Intensities are scaled so that the largest is 100.

Most intense lines, 5 to 70 degrees two-theta, by angle:
Position (°2θ)	I_rel
29.66	7.7
32.27	2.1
35.16	67.1
37.43	100.0
44.39	41.8
48.46	15.1
59.42	29.3
61.58	8.3
66.06	12.4
67.52	18.9

```
CeB2Ru3
1.0
5.5490 0.0000 0.0000
-2.7745 4.8055 0.0000
0.0000 0.0000 3.0119
Ce B Ru
1 2 3
direct
0.0000 0.0000 0.0000
0.3333 0.6667 0.0000
0.6667 0.3333 0.0000
0.0000 0.5000 0.5000
0.5000 0.0000 0.5000
0.5000 0.5000 0.5000
```